Entry 1:
Starting from a DFT-relaxed cell (PBE, the Materials Project), the XRD peak list of La2C3 was simulated for Cu Kα (weighted mean of Kα1 and Kα2).

Most intense lines, 2θ from 5° to 70°, low angle first:
- d = 3.600 Å, rel. 45
- d = 3.118 Å, rel. 88
- d = 2.789 Å, rel. 100
- d = 2.357 Å, rel. 53
- d = 1.880 Å, rel. 26
- d = 1.730 Å, rel. 65
- d = 1.610 Å, rel. 26
- d = 1.361 Å, rel. 19

Crystal structure
Lattice parameters (Å, degrees): 7.6374 7.6374 7.6374 109.47 109.47 109.47
Positions (direct):
La: 0.0000 0.3956 0.5000
La: 0.0000 0.8956 0.5000
La: 0.1044 0.1044 0.1044
La: 0.3956 0.5000 0.0000
La: 0.5000 0.0000 0.3956
La: 0.5000 0.0000 0.8956
La: 0.6044 0.6044 0.6044
La: 0.8956 0.5000 0.0000
C: 0.0496 0.7500 0.7996
C: 0.2004 0.7500 0.9504
C: 0.2500 0.5496 0.2996
C: 0.2500 0.7004 0.4504
C: 0.2996 0.2500 0.5496
C: 0.4504 0.2500 0.7004
C: 0.5496 0.2996 0.2500
C: 0.7004 0.4504 0.2500
C: 0.7500 0.7996 0.0496
C: 0.7500 0.9504 0.2004
C: 0.7996 0.0496 0.7500
C: 0.9504 0.2004 0.7500

Entry 2:
Starting from a DFT-relaxed cell (PBE, the Materials Project), the XRD peak list of Li2Bi3P9O28 was simulated for Cu Kα (weighted mean of Kα1 and Kα2).

Most intense lines, 2θ from 5° to 70°, low angle first:
- d = 5.416 Å, rel. 100
- d = 5.000 Å, rel. 70
- d = 4.372 Å, rel. 31
- d = 4.107 Å, rel. 72
- d = 3.386 Å, rel. 32
- d = 3.204 Å, rel. 46
- d = 3.167 Å, rel. 31
- d = 3.063 Å, rel. 26

Crystal structure
Lattice parameters (Å, degrees): 7.1298 9.8427 9.8944 113.91 97.31 107.40
Positions (direct):
Li: 0.1727 0.2232 0.4499
Li: 0.8273 0.7768 0.5501
Bi: 0.2517 0.7350 0.4624
Bi: 0.5000 0.5000 0.0000
Bi: 0.7483 0.2650 0.5376
P: 0.0000 0.0000 0.0000
P: 0.1242 0.3632 0.1674
P: 0.2254 0.5713 0.7295
P: 0.2869 0.0650 0.7934
P: 0.3109 0.9650 0.2367
P: 0.6891 0.0350 0.7633
P: 0.7131 0.9350 0.2066
P: 0.7746 0.4287 0.2705
P: 0.8758 0.6368 0.8326
O: 0.0893 0.1900 0.1526
O: 0.0945 0.6218 0.8497
O: 0.1006 0.3916 0.6071
O: 0.1397 0.9279 0.6366
O: 0.1497 0.9483 0.1026
O: 0.1904 0.3900 0.0393
O: 0.2010 0.0621 0.9299
O: 0.2370 0.8176 0.2596
O: 0.2531 0.6846 0.6597
O: 0.2560 0.4804 0.3338
O: 0.3538 0.2278 0.7966
O: 0.3714 0.1252 0.3839
O: 0.4219 0.5941 0.8292
O: 0.4905 0.0283 0.8287
O: 0.5095 0.9717 0.1713
O: 0.5781 0.4059 0.1708
O: 0.6286 0.8748 0.6161
O: 0.6462 0.7722 0.2034
O: 0.7440 0.5196 0.6662
O: 0.7469 0.3154 0.3403
O: 0.7630 0.1824 0.7404
O: 0.7990 0.9379 0.0701
O: 0.8096 0.6100 0.9607
O: 0.8503 0.0517 0.8974
O: 0.8603 0.0721 0.3634
O: 0.8994 0.6084 0.3929
O: 0.9055 0.3782 0.1503
O: 0.9107 0.8100 0.8474

Entry 3:
Starting from a DFT-relaxed cell (PBE, the Materials Project), the XRD peak list of Na3Sc2P3O12 was simulated for Cu Kα (weighted mean of Kα1 and Kα2).

Most intense lines, 2θ from 5° to 70°, low angle first:
- d = 4.533 Å, rel. 65
- d = 3.877 Å, rel. 44
- d = 3.852 Å, rel. 100
- d = 2.939 Å, rel. 36
- d = 2.877 Å, rel. 54
- d = 2.859 Å, rel. 92
- d = 2.608 Å, rel. 58
- d = 1.926 Å, rel. 42

Crystal structure
Lattice parameters (Å, degrees): 9.0593 9.0593 9.0361 119.79 119.79 59.71
Positions (direct):
Na: 0.0661 0.9339 0.5000
Na: 0.2078 0.6603 0.7892
Na: 0.5875 0.7965 0.0406
Na: 0.6603 0.2078 0.2892
Na: 0.7965 0.5875 0.5406
Na: 0.9339 0.0661 0.0000
Sc: 0.0519 0.5349 0.3479
Sc: 0.3371 0.8373 0.2332
Sc: 0.5349 0.0519 0.8479
Sc: 0.8373 0.3371 0.7332
P: 0.1396 0.2377 0.5363
P: 0.2377 0.1396 0.0363
P: 0.4413 0.6487 0.5494
P: 0.6487 0.4413 0.0494
P: 0.7374 0.9418 0.5376
P: 0.9418 0.7374 0.0376
O: 0.0775 0.1679 0.8633
O: 0.0987 0.7660 0.0420
O: 0.1115 0.4210 0.5359
O: 0.1679 0.0775 0.3633
O: 0.1956 0.3019 0.2028
O: 0.2580 0.9620 0.0445
O: 0.2739 0.6308 0.5369
O: 0.3019 0.1956 0.7028
O: 0.3969 0.7001 0.3888
O: 0.4210 0.1115 0.0359
O: 0.4705 0.6055 0.0463
O: 0.4885 0.8039 0.7261
O: 0.5787 0.8949 0.3672
O: 0.6055 0.4705 0.5463
O: 0.6308 0.2739 0.0369
O: 0.7001 0.3969 0.8888
O: 0.7040 0.9827 0.7093
O: 0.7660 0.0987 0.5420
O: 0.7763 0.9174 0.0347
O: 0.8039 0.4885 0.2261
O: 0.8949 0.5787 0.8672
O: 0.9174 0.7763 0.5347
O: 0.9620 0.2580 0.5445
O: 0.9827 0.7040 0.2093

Entry 4:
Starting from a DFT-relaxed cell (PBE, the Materials Project), the XRD peak list of Ba16Ca2HC12N25O4 was simulated for Cu Kα (weighted mean of Kα1 and Kα2).

Most intense lines, 2θ from 5° to 70°, low angle first:
- d = 3.962 Å, rel. 50
- d = 3.920 Å, rel. 34
- d = 3.428 Å, rel. 61
- d = 3.258 Å, rel. 100
- d = 3.118 Å, rel. 57
- d = 2.643 Å, rel. 58
- d = 2.074 Å, rel. 40
- d = 1.911 Å, rel. 38

Crystal structure
Lattice parameters (Å, degrees): 13.7213 13.7213 13.7213 43.24 43.24 43.24
Positions (direct):
Ba: 0.0026 0.8508 0.2938
Ba: 0.1487 0.1487 0.1487
Ba: 0.1492 0.7062 0.9974
Ba: 0.2261 0.4998 0.6395
Ba: 0.2938 0.0026 0.8508
Ba: 0.3495 0.3495 0.3495
Ba: 0.3605 0.7739 0.5002
Ba: 0.5002 0.3605 0.7739
Ba: 0.4998 0.6395 0.2261
Ba: 0.6395 0.2261 0.4998
Ba: 0.6505 0.6505 0.6505
Ba: 0.7062 0.9974 0.1492
Ba: 0.7739 0.5002 0.3605
Ba: 0.8508 0.2938 0.0026
Ba: 0.8513 0.8513 0.8513
Ba: 0.9974 0.1492 0.7062
Ca: 0.2495 0.2495 0.2495
Ca: 0.7505 0.7505 0.7505
H: 0.0000 0.0000 0.0000
C: 0.0297 0.4331 0.6473
C: 0.0614 0.8576 0.4687
C: 0.1424 0.5313 0.9386
C: 0.3527 0.9703 0.5669
C: 0.4331 0.6473 0.0297
C: 0.4687 0.0614 0.8576
C: 0.5313 0.9386 0.1424
C: 0.5669 0.3527 0.9703
C: 0.6473 0.0297 0.4331
C: 0.8576 0.4687 0.0614
C: 0.9386 0.1424 0.5313
C: 0.9703 0.5669 0.3527
N: 0.0543 0.4250 0.3844
N: 0.0784 0.1182 0.4419
N: 0.1114 0.2893 0.6849
N: 0.1182 0.4419 0.0784
N: 0.1709 0.6223 0.7976
N: 0.2024 0.8291 0.3777
N: 0.2893 0.6849 0.1114
N: 0.3151 0.8886 0.7107
N: 0.3777 0.2024 0.8291
N: 0.3844 0.0543 0.4250
N: 0.4250 0.3844 0.0543
N: 0.4419 0.0784 0.1182
N: 0.5000 0.5000 0.5000
N: 0.5581 0.9216 0.8818
N: 0.5750 0.6156 0.9457
N: 0.6156 0.9457 0.5750
N: 0.6223 0.7976 0.1709
N: 0.6849 0.1114 0.2893
N: 0.7107 0.3151 0.8886
N: 0.7976 0.1709 0.6223
N: 0.8291 0.3777 0.2024
N: 0.8818 0.5581 0.9216
N: 0.8886 0.7107 0.3151
N: 0.9216 0.8818 0.5581
N: 0.9457 0.5750 0.6156
O: 0.0807 0.0807 0.0807
O: 0.4151 0.4151 0.4151
O: 0.5849 0.5849 0.5849
O: 0.9193 0.9193 0.9193

Question: Which formula does entry 4 have?
Answer: Ba16Ca2HC12N25O4